Diffraction record for CsNaAgSb. The PXRD pattern is theoretical, not measured: it uses a crystal structure in OQMD, relaxed with PBE and a wavelength of 1.5418 Å.

Largest 12 diffraction maxima, low angle first, 2θ = 10–90°:
| 2θ/deg | I_rel |
| --- | --- |
| 12.18 | 64.5 |
| 16.26 | 40.5 |
| 20.76 | 81.4 |
| 22.11 | 55.6 |
| 26.02 | 44.9 |
| 28.40 | 100.0 |
| 28.78 | 39.9 |
| 29.21 | 79.7 |
| 31.71 | 55.0 |
| 33.43 | 39.1 |
| 37.05 | 53.6 |
| 39.11 | 56.0 |

Cell and atoms:
```
data_CsNaAgSb
_chemical_formula_sum 'Cs2 Na2 Ag2 Sb2'
_symmetry_space_group_name_H-M 'P 1'
_symmetry_Int_Tables_number 1
_cell_length_a 6.372
_cell_length_b 5.956
_cell_length_c 7.530
_cell_angle_alpha 90.00
_cell_angle_beta 105.16
_cell_angle_gamma 90.00
loop_
_symmetry_equiv_pos_as_xyz
'x,y,z'
loop_
_atom_site_label
_atom_site_fract_x
_atom_site_fract_y
_atom_site_fract_z
Cs1 0.066 0.250 0.186
Cs2 0.934 0.750 0.814
Na1 0.334 0.750 0.526
Na2 0.666 0.250 0.474
Ag1 0.500 0.000 0.000
Ag2 0.500 0.500 0.000
Sb1 0.293 0.250 0.701
Sb2 0.707 0.750 0.299
```